This entry pairs a crystal structure of Tb3DySc7 with its computed powder X-ray diffraction pattern. Radiation: CuKα. Structure: a structure optimized by DFT (PBE).
No peak broadening, texture or thermal motion is included.

Atomic structure:
Cell: 5.454 10.462 10.725 Å, 90.00 90.00 90.00°
Space group Immm (No. 71)
One atom of each set of equivalent atoms:
1 Tb 0.000 0.000 0.000 [2 per cell]
2 Tb 0.000 0.288 0.500 [4 per cell]
3 Dy 0.000 0.500 0.000 [2 per cell]
4 Sc 0.000 0.000 0.500 [2 per cell]
5 Sc 0.000 0.192 0.217 [8 per cell]
6 Sc 0.000 0.500 0.293 [4 per cell]

Most intense lines, 2θ = 10–90°, by angle:
| index | d_spacing | Rel. int. |
| --- | --- | --- |
| 0 0 2 | 5.363 | 48 |
| 1 2 1 | 3.561 | 100 |
| 2 0 0 | 2.727 | 45 |
| 0 0 4 | 2.681 | 34 |
| 1 2 3 | 2.596 | 85 |
| 1 3 2 | 2.577 | 38 |
| 2 0 4 | 1.912 | 25 |
| 2 4 4 | 1.544 | 20 |